Simulated X-ray diffraction stick pattern
Compound: K2GeTe4
Radiation: Cu Kα (weighted mean of Kα1 and Kα2)
Structure: the GGA-PBE geometry in the Materials Project

Top 12 peaks for 2θ from 10° to 90°, low angle first:
12.3 deg, I 45, hkl 1 1 0; 17.9 deg, I 71, hkl 2 1 -1; 18.0 deg, I 59, hkl 0 0 2; 23.4 deg, I 43, hkl 1 1 2; 23.7 deg, I 52, hkl 3 1 0; 24.0 deg, I 37, hkl 1 2 1; 24.2 deg, I 81, hkl 3 0 -2; 26.3 deg, I 61, hkl 3 1 -2; 27.2 deg, I 96, hkl 0 2 2; 27.7 deg, I 100, hkl 2 2 1; 28.1 deg, I 47, hkl 1 1 -3; 29.6 deg, I 85, hkl 4 1 -1

Structural model:
```
28
Lattice="12.875 0.000 0.000 0.000 8.803 0.000 -2.655 0.000 9.867" Properties=species:S:1:pos:R:3 pbc="T T T"
K 0.008 0.546 2.110
K -1.319 3.855 7.044
K 2.543 0.653 6.866
K 3.870 3.749 1.933
K 6.350 5.054 7.935
K 7.677 8.150 3.001
K 11.539 4.948 2.823
K 10.212 8.257 7.757
Ge 1.889 5.622 5.328
Ge 3.216 7.582 0.395
Ge 7.004 1.221 9.473
Ge 8.331 3.181 4.539
Te 1.403 5.797 0.269
Te 0.076 7.407 5.202
Te 0.050 1.203 9.517
Te 1.377 3.198 4.583
Te 2.468 4.694 7.751
Te 3.795 8.511 2.817
Te 4.330 6.370 4.495
Te 3.003 6.834 9.428
Te 7.217 1.969 0.439
Te 5.890 2.433 5.373
Te 6.425 0.292 7.050
Te 7.752 4.110 2.116
Te 8.843 5.605 5.284
Te 10.170 7.600 0.350
Te 10.144 1.396 4.665
Te 8.817 3.006 9.599
```